Structure and computed powder diffractogram of Cd5Pb (a structure optimized by DFT (GGA-PBE); Cu Kα X-rays).

Principal peaks in the range 2θ from 10° to 90°, sorted by position:
2theta, I (rel.)
32.74, 100.0
33.03, 47.9
36.54, 37.6
38.91, 63.6
39.84, 27.1
54.49, 20.6

Atomic structure:
Cell: 5.3122 5.3122 9.1007 Å, 109.61 109.61 37.71°
Fractional positions:
Cd (0.0000, 0.0000, 0.0000)
Cd (0.3302, 0.3302, 0.1541)
Cd (0.3377, 0.3377, 0.6885)
Cd (0.6623, 0.6623, 0.3115)
Cd (0.6698, 0.6698, 0.8459)
Pb (0.0000, 0.0000, 0.5000)

---

Structure and computed powder diffractogram of Cd7Pb (a structure optimized by DFT (GGA-PBE); Cu Kα X-rays).

Principal peaks in the range 2θ from 10° to 90°, sorted by position:
2theta, I (rel.)
33.94, 100.0
39.32, 15.9
39.43, 33.5
56.93, 31.9
67.85, 11.2
68.01, 25.2

Atomic structure:
Cell: 9.7197 9.7197 9.7197 Å, 152.80 152.80 38.84°
Fractional positions:
Cd (0.0000, 0.0000, 0.0000)
Cd (0.1324, 0.6324, 0.5000)
Cd (0.2493, 0.2493, 0.0000)
Cd (0.3676, 0.8676, 0.5000)
Cd (0.6324, 0.1324, 0.5000)
Cd (0.7507, 0.7507, 0.0000)
Cd (0.8676, 0.3676, 0.5000)
Pb (0.5000, 0.5000, 0.0000)

---

Structure and computed powder diffractogram of CdPd3Pb5 (a structure optimized by DFT (GGA-PBE); Cu Kα X-rays).

Principal peaks in the range 2θ from 10° to 90°, sorted by position:
2theta, I (rel.)
18.32, 30.3
26.05, 45.4
31.10, 33.2
31.25, 100.0
37.09, 29.4
37.24, 29.6

Atomic structure:
Cell: 7.7249 7.7249 10.3085 Å, 115.64 115.64 77.37°
Fractional positions:
Cd (0.0883, 0.0883, 0.3111)
Cd (0.9117, 0.9117, 0.6889)
Pd (0.0000, 0.0000, 0.0000)
Pd (0.0000, 0.0000, 0.5000)
Pd (0.3164, 0.3164, 0.3124)
Pd (0.3440, 0.3440, 0.8326)
Pd (0.6560, 0.6560, 0.1674)
Pd (0.6836, 0.6836, 0.6876)
Pb (0.0488, 0.6131, 0.3423)
Pb (0.2308, 0.2308, 0.0017)
Pb (0.2765, 0.7235, 0.0000)
Pb (0.3869, 0.9512, 0.6577)
Pb (0.4292, 0.4292, 0.6347)
Pb (0.5708, 0.5708, 0.3653)
Pb (0.6131, 0.0488, 0.3423)
Pb (0.7235, 0.2765, 0.0000)
Pb (0.7692, 0.7692, 0.9983)
Pb (0.9512, 0.3869, 0.6577)

---

Structure and computed powder diffractogram of Cd5Pd4Pb (a structure optimized by DFT (GGA-PBE); Cu Kα X-rays).

Principal peaks in the range 2θ from 10° to 90°, sorted by position:
2theta, I (rel.)
33.75, 24.2
36.84, 100.0
39.31, 72.2
40.34, 31.5
56.81, 24.0
69.65, 29.9

Atomic structure:
Cell: 3.2412 3.2412 18.5287 Å, 90.00 90.00 90.00°
Fractional positions:
Cd (0.0000, 0.0000, 0.0000)
Cd (0.0000, 0.0000, 0.1797)
Cd (0.0000, 0.0000, 0.3613)
Cd (0.0000, 0.0000, 0.6387)
Cd (0.0000, 0.0000, 0.8203)
Pd (0.5000, 0.5000, 0.0898)
Pd (0.5000, 0.5000, 0.2706)
Pd (0.5000, 0.5000, 0.7294)
Pd (0.5000, 0.5000, 0.9102)
Pb (0.5000, 0.5000, 0.5000)

---

Structure and computed powder diffractogram of CdPd4Pb (a structure optimized by DFT (GGA-PBE); Cu Kα X-rays).

Principal peaks in the range 2θ from 10° to 90°, sorted by position:
2theta, I (rel.)
37.28, 100.0
38.46, 91.8
42.88, 35.1
43.11, 33.1
46.00, 27.5
64.70, 19.7

Atomic structure:
Cell: 5.0302 5.0302 6.0948 Å, 107.90 107.90 46.18°
Fractional positions:
Cd (0.0000, 0.0000, 0.0000)
Pd (0.3321, 0.3321, 0.1629)
Pd (0.3345, 0.3345, 0.6715)
Pd (0.6655, 0.6655, 0.3285)
Pd (0.6679, 0.6679, 0.8371)
Pb (0.0000, 0.0000, 0.5000)

---

Structure and computed powder diffractogram of Cd6Pd12Pb (a structure optimized by DFT (GGA-PBE); Cu Kα X-rays).

Principal peaks in the range 2θ from 10° to 90°, sorted by position:
2theta, I (rel.)
26.15, 13.7
38.51, 100.0
38.66, 27.4
39.75, 43.6
41.93, 32.7
71.29, 12.7

Atomic structure:
Cell: 7.1819 7.1819 7.1819 Å, 101.67 101.67 101.67°
Fractional positions:
Cd (0.0562, 0.3234, 0.3234)
Cd (0.3234, 0.0562, 0.3234)
Cd (0.3234, 0.3234, 0.0562)
Cd (0.6766, 0.6766, 0.9438)
Cd (0.6766, 0.9438, 0.6766)
Cd (0.9438, 0.6766, 0.6766)
Pd (0.0922, 0.0922, 0.6817)
Pd (0.0922, 0.6817, 0.0922)
Pd (0.2413, 0.5000, 0.7587)
Pd (0.2413, 0.7587, 0.5000)
Pd (0.3183, 0.9078, 0.9078)
Pd (0.5000, 0.2413, 0.7587)
Pd (0.5000, 0.7587, 0.2413)
Pd (0.6817, 0.0922, 0.0922)
Pd (0.7587, 0.2413, 0.5000)
Pd (0.7587, 0.5000, 0.2413)
Pd (0.9078, 0.3183, 0.9078)
Pd (0.9078, 0.9078, 0.3183)
Pb (0.5000, 0.5000, 0.5000)

---

Structure and computed powder diffractogram of Pm2CdPb5 (a structure optimized by DFT (GGA-PBE); Cu Kα X-rays).

Principal peaks in the range 2θ from 10° to 90°, sorted by position:
2theta, I (rel.)
31.89, 100.0
36.23, 18.4
37.35, 31.9
53.02, 23.6
62.46, 14.9
63.97, 24.7

Atomic structure:
Cell: 6.8040 13.6277 4.9584 Å, 90.00 90.00 90.00°
Fractional positions:
Pm (0.2312, 0.1301, 0.0000)
Pm (0.2688, 0.6301, 0.0000)
Pm (0.7312, 0.3699, 0.0000)
Pm (0.7688, 0.8699, 0.0000)
Cd (0.0000, 0.5000, 0.5000)
Cd (0.5000, 0.0000, 0.5000)
Pb (0.0000, 0.0000, 0.5000)
Pb (0.0165, 0.7457, 0.5000)
Pb (0.2291, 0.3822, 0.0000)
Pb (0.2709, 0.8822, 0.0000)
Pb (0.4835, 0.2457, 0.5000)
Pb (0.5000, 0.5000, 0.5000)
Pb (0.5165, 0.7543, 0.5000)
Pb (0.7291, 0.1178, 0.0000)
Pb (0.7709, 0.6178, 0.0000)
Pb (0.9835, 0.2543, 0.5000)

---

Structure and computed powder diffractogram of Pm5Cd2Pb5 (a structure optimized by DFT (GGA-PBE); Cu Kα X-rays).

Principal peaks in the range 2θ from 10° to 90°, sorted by position:
2theta, I (rel.)
30.72, 74.7
30.83, 37.6
33.18, 26.9
33.95, 100.0
37.26, 43.1
65.11, 26.1

Atomic structure:
Cell: 8.7974 8.7974 10.9555 Å, 126.28 126.28 31.85°
Fractional positions:
Pm (0.0000, 0.0000, 0.0000)
Pm (0.1015, 0.1015, 0.4159)
Pm (0.1894, 0.1894, 0.8288)
Pm (0.8106, 0.8106, 0.1712)
Pm (0.8985, 0.8985, 0.5841)
Cd (0.3596, 0.3596, 0.7550)
Cd (0.6404, 0.6404, 0.2450)
Pb (0.2618, 0.2618, 0.3267)
Pb (0.4273, 0.4273, 0.1295)
Pb (0.5000, 0.5000, 0.5000)
Pb (0.5727, 0.5727, 0.8705)
Pb (0.7382, 0.7382, 0.6733)